# 1
Computed X-ray diffraction stick pattern
Compound: Pm7Nd4Mg
Radiation: Cu Kα (weighted mean of Kα1 and Kα2)
Structure: DFT lattice parameters and positions (PBE)
Peak positions follow from Bragg's law for the DFT cell and can differ from measured ones.

Largest 10 diffraction maxima, in order of falling intensity, 2θ from 10° to 90°:
2θ (°)	I (rel.)
30.14	100
35.02	45
30.22	33
50.23	32
34.86	23
59.70	19
59.89	19
59.57	10
59.81	10
62.73	8

Crystal structure
```
12
Lattice="6.290 0.000 0.000 -0.011 7.235 0.000 -0.024 -3.616 8.912" Properties=species:S:1:pos:R:3 pbc="T T T"
Pm 0.000 0.000 0.000
Pm 1.029 1.803 5.966
Pm 1.037 -1.814 5.969
Pm 3.143 1.807 0.001
Pm 3.113 1.813 8.911
Pm 5.218 5.434 2.943
Pm 5.226 1.816 2.947
Nd 2.065 3.619 2.978
Nd 2.126 0.000 2.978
Nd 4.129 3.620 5.934
Nd 4.190 0.000 5.934
Mg -0.006 3.618 0.000
```

=====

# 2
Computed X-ray diffraction stick pattern
Compound: Ti8Ga2Cu3
Radiation: Cu Kα (weighted mean of Kα1 and Kα2)
Structure: DFT lattice parameters and positions (PBE)
Peak positions follow from Bragg's law for the DFT cell and can differ from measured ones.

Largest 10 diffraction maxima, in order of falling intensity, 2θ from 10° to 90°:
2θ (°)	I (rel.)
41.39	100
42.19	64
39.09	59
38.61	39
56.11	24
47.85	22
28.52	21
79.30	19
72.39	17
23.54	14

Crystal structure
```
13
Lattice="3.554 -6.606 0.000 3.554 6.606 0.000 0.000 0.000 4.609" Properties=species:S:1:pos:R:3 pbc="T T T"
Ti 3.554 5.289 0.000
Ti 2.201 1.498 2.304
Ti 3.554 2.560 0.000
Ti 2.201 -1.498 2.304
Ti 4.907 1.498 2.304
Ti 3.554 -2.560 0.000
Ti 4.907 -1.498 2.304
Ti 3.554 -5.289 0.000
Ga 3.554 3.777 2.304
Ga 3.554 -3.777 2.304
Cu 0.000 0.000 2.304
Cu 2.347 0.000 0.000
Cu 4.762 0.000 0.000
```

=====

# 3
Computed X-ray diffraction stick pattern
Compound: Ce5Fe2Au2
Radiation: Cu Kα (weighted mean of Kα1 and Kα2)
Structure: DFT lattice parameters and positions (PBE)
Peak positions follow from Bragg's law for the DFT cell and can differ from measured ones.

Largest 10 diffraction maxima, in order of falling intensity, 2θ from 10° to 90°:
2θ (°)	I (rel.)
33.53	100
33.83	93
34.70	88
34.02	87
35.83	70
38.97	52
39.83	49
32.63	47
61.64	44
40.34	39

Crystal structure
```
18
Lattice="7.715 -3.706 0.000 7.715 3.706 0.000 0.000 0.000 7.217" Properties=species:S:1:pos:R:3 pbc="T T T"
Ce 0.000 0.000 0.000
Ce 5.868 2.397 4.853
Ce 5.868 1.309 1.244
Ce 9.563 2.397 4.853
Ce 9.563 1.309 1.244
Ce 7.715 0.000 3.608
Ce 5.868 -1.309 5.973
Ce 5.868 -2.397 2.364
Ce 9.563 -1.309 5.973
Ce 9.563 -2.397 2.364
Fe 7.715 2.711 2.581
Fe 7.715 0.995 6.189
Fe 7.715 -0.995 1.028
Fe 7.715 -2.711 4.636
Au 3.380 0.000 0.000
Au 4.336 0.000 3.608
Au 11.095 0.000 3.608
Au 12.051 0.000 0.000
```

=====

# 4
Computed X-ray diffraction stick pattern
Compound: Li2MgCd
Radiation: Cu Kα (weighted mean of Kα1 and Kα2)
Structure: DFT lattice parameters and positions (PBE)
Peak positions follow from Bragg's law for the DFT cell and can differ from measured ones.

Largest 10 diffraction maxima, in order of falling intensity, 2θ from 10° to 90°:
2θ (°)	I (rel.)
24.67	100
39.21	77
23.46	65
22.42	65
29.99	38
38.53	31
36.55	29
49.55	29
16.69	29
43.31	23

Crystal structure
```
8
Lattice="4.916 0.000 0.000 0.000 5.959 0.000 0.000 0.000 5.312" Properties=species:S:1:pos:R:3 pbc="T T T"
Li 1.229 0.005 0.839
Li 1.229 2.975 0.839
Li 3.687 2.984 4.472
Li 3.687 5.954 4.472
Mg 1.229 4.469 3.447
Mg 3.687 1.490 1.865
Cd 1.229 1.490 3.633
Cd 3.687 4.469 1.679
```

=====

# 5
Computed X-ray diffraction stick pattern
Compound: Rb2Ce2I7
Radiation: Cu Kα (weighted mean of Kα1 and Kα2)
Structure: DFT lattice parameters and positions (PBE)
Peak positions follow from Bragg's law for the DFT cell and can differ from measured ones.

Largest 10 diffraction maxima, in order of falling intensity, 2θ from 10° to 90°:
2θ (°)	I (rel.)
30.81	100
20.06	47
29.40	41
35.84	30
34.75	29
10.29	26
31.57	24
46.14	23
22.60	21
23.59	20

Crystal structure
```
11
Lattice="5.163 -6.077 0.000 5.163 6.077 0.000 0.000 0.000 8.593" Properties=species:S:1:pos:R:3 pbc="T T T"
Rb 2.434 0.000 0.000
Rb 7.893 0.000 0.000
Ce 5.163 2.676 4.296
Ce 5.163 -2.676 4.296
I 0.000 0.000 4.296
I 2.582 3.038 2.223
I 2.582 3.038 6.369
I 2.582 -3.038 2.223
I 2.582 -3.038 6.369
I 5.163 0.000 2.372
I 5.163 0.000 6.220
```

=====

# 6
Computed X-ray diffraction stick pattern
Compound: Pm5Pr2Cd
Radiation: Cu Kα (weighted mean of Kα1 and Kα2)
Structure: DFT lattice parameters and positions (PBE)
Peak positions follow from Bragg's law for the DFT cell and can differ from measured ones.

Largest 10 diffraction maxima, in order of falling intensity, 2θ from 10° to 90°:
2θ (°)	I (rel.)
31.46	100
34.39	92
30.48	69
29.17	59
27.50	51
32.53	35
34.05	26
49.44	24
56.61	23
49.15	18

Crystal structure
```
16
Lattice="5.220 0.000 0.000 0.000 17.728 0.000 -2.603 0.000 5.801" Properties=species:S:1:pos:R:3 pbc="T T T"
Pm -0.003 4.432 0.412
Pm 0.004 11.568 2.946
Pm 0.004 15.025 2.946
Pm 0.005 1.699 5.216
Pm 0.005 7.165 5.216
Pm 2.612 10.563 0.586
Pm 2.612 16.030 0.586
Pm 2.613 2.704 2.856
Pm 2.613 6.160 2.856
Pm 2.620 13.296 5.389
Pr 0.006 0.723 1.709
Pr 0.006 8.141 1.709
Pr 2.611 9.587 4.092
Pr 2.611 17.006 4.092
Cd 0.005 4.432 3.691
Cd 2.612 13.296 2.111
```

=====

# 7
Computed X-ray diffraction stick pattern
Compound: DyYPd4
Radiation: Cu Kα (weighted mean of Kα1 and Kα2)
Structure: DFT lattice parameters and positions (PBE)
Peak positions follow from Bragg's law for the DFT cell and can differ from measured ones.

Largest 10 diffraction maxima, in order of falling intensity, 2θ from 10° to 90°:
2θ (°)	I (rel.)
38.07	100
38.93	86
41.88	53
43.17	34
61.71	33
75.07	22
77.87	22
31.40	17
29.72	15
48.98	15

Crystal structure
```
12
Lattice="2.096 -9.709 0.000 2.096 9.709 0.000 0.000 0.000 5.788" Properties=species:S:1:pos:R:3 pbc="T T T"
Dy 2.096 8.203 4.341
Dy 2.096 -8.203 1.447
Y 2.096 5.348 1.447
Y 2.096 -5.348 4.341
Pd 2.096 8.279 1.447
Pd 2.096 2.864 2.952
Pd 2.096 2.864 5.730
Pd 2.096 0.000 0.000
Pd 2.096 0.000 2.894
Pd 2.096 -2.864 0.058
Pd 2.096 -2.864 2.836
Pd 2.096 -8.279 4.341
```

=====

# 8
Computed X-ray diffraction stick pattern
Compound: Tl2Te5P
Radiation: Cu Kα (weighted mean of Kα1 and Kα2)
Structure: DFT lattice parameters and positions (PBE)
Peak positions follow from Bragg's law for the DFT cell and can differ from measured ones.

Largest 10 diffraction maxima, in order of falling intensity, 2θ from 10° to 90°:
2θ (°)	I (rel.)
31.90	100
30.02	50
29.66	33
33.66	32
48.35	26
28.05	22
49.62	19
54.50	17
26.47	16
75.80	16

Crystal structure
```
32
Lattice="8.420 0.000 0.000 0.000 8.420 0.000 0.000 0.000 15.052" Properties=species:S:1:pos:R:3 pbc="T T T"
Tl 0.000 0.000 1.814
Tl 0.000 0.000 5.707
Tl 0.000 0.000 9.345
Tl 0.000 0.000 13.238
Tl 4.210 4.210 1.814
Tl 4.210 4.210 5.707
Tl 4.210 4.210 9.345
Tl 4.210 4.210 13.238
Te 0.000 4.210 1.953
Te 0.000 4.210 13.100
Te 1.432 2.778 4.285
Te 1.432 2.778 10.767
Te 1.472 5.681 7.526
Te 1.602 2.608 0.000
Te 2.608 6.818 0.000
Te 2.738 1.472 7.526
Te 2.778 6.988 4.285
Te 2.778 6.988 10.767
Te 4.210 0.000 1.953
Te 4.210 0.000 13.100
Te 5.642 1.432 4.285
Te 5.642 1.432 10.767
Te 5.681 6.948 7.526
Te 5.812 1.602 0.000
Te 6.818 5.812 0.000
Te 6.948 2.738 7.526
Te 6.988 5.642 4.285
Te 6.988 5.642 10.767
P 0.000 4.210 5.819
P 0.000 4.210 9.234
P 4.210 0.000 5.819
P 4.210 0.000 9.234
```

=====

# 9
Computed X-ray diffraction stick pattern
Compound: Sm4NpS5
Radiation: Cu Kα (weighted mean of Kα1 and Kα2)
Structure: DFT lattice parameters and positions (PBE)
Peak positions follow from Bragg's law for the DFT cell and can differ from measured ones.

Largest 10 diffraction maxima, in order of falling intensity, 2θ from 10° to 90°:
2θ (°)	I (rel.)
31.71	100
27.37	84
45.46	73
53.88	42
56.48	26
84.01	25
75.28	22
73.09	17
75.36	11
66.29	8

Crystal structure
```
10
Lattice="-1.994 1.994 14.126 1.994 -1.994 14.126 1.994 1.994 -14.126" Properties=species:S:1:pos:R:3 pbc="T T T"
Sm 0.000 0.000 2.816
Sm 0.000 0.000 8.529
Sm 0.000 0.000 19.723
Sm 0.000 0.000 25.436
Np 0.000 0.000 14.126
S 0.000 0.000 0.000
S 0.000 0.000 5.669
S 0.000 0.000 11.343
S 0.000 0.000 16.910
S 0.000 0.000 22.583
```

=====

# 10
Computed X-ray diffraction stick pattern
Compound: Cs23K6Cd
Radiation: Cu Kα (weighted mean of Kα1 and Kα2)
Structure: DFT lattice parameters and positions (PBE)
Peak positions follow from Bragg's law for the DFT cell and can differ from measured ones.

Largest 10 diffraction maxima, in order of falling intensity, 2θ from 10° to 90°:
2θ (°)	I (rel.)
21.57	100
37.83	36
30.69	18
59.36	13
13.16	12
49.48	12
43.96	10
25.35	8
40.02	6
19.80	6

Crystal structure
```
30
Lattice="0.000 11.651 11.651 11.651 0.000 11.651 11.651 11.651 0.000" Properties=species:S:1:pos:R:3 pbc="T T T"
Cs 0.000 0.000 0.000
Cs 5.825 5.825 0.000
Cs 5.825 0.000 5.825
Cs 11.651 5.825 5.825
Cs 3.061 3.061 3.061
Cs 8.590 8.590 3.061
Cs 8.590 3.061 8.590
Cs 14.168 9.134 9.134
Cs 9.134 9.134 9.134
Cs 14.168 14.168 9.134
Cs 14.168 9.134 14.168
Cs 20.241 14.712 14.712
Cs 0.000 5.825 5.825
Cs 5.825 11.651 5.825
Cs 5.825 5.825 11.651
Cs 3.061 8.590 8.590
Cs 9.134 14.168 9.134
Cs 9.134 9.134 14.168
Cs 14.168 14.168 14.168
Cs 9.134 14.168 14.168
Cs 14.712 20.241 14.712
Cs 14.712 14.712 20.241
Cs 20.241 20.241 20.241
K 11.651 11.651 5.564
K 11.651 5.564 11.651
K 17.738 11.651 11.651
K 5.564 11.651 11.651
K 11.651 17.738 11.651
K 11.651 11.651 17.738
Cd 11.651 11.651 11.651
```

=====

# 11
Computed X-ray diffraction stick pattern
Compound: CsBa4Sr
Radiation: Cu Kα (weighted mean of Kα1 and Kα2)
Structure: DFT lattice parameters and positions (PBE)
Peak positions follow from Bragg's law for the DFT cell and can differ from measured ones.

Largest 10 diffraction maxima, in order of falling intensity, 2θ from 10° to 90°:
2θ (°)	I (rel.)
24.69	100
25.81	47
39.14	39
42.78	36
59.36	26
50.63	22
21.01	20
50.02	14
67.88	14
78.34	12

Crystal structure
```
6
Lattice="0.000 5.979 5.979 5.979 0.000 5.979 5.979 5.979 0.000" Properties=species:S:1:pos:R:3 pbc="T T T"
Cs 0.000 0.000 0.000
Ba 4.493 4.493 4.493
Ba 7.465 7.465 4.493
Ba 7.465 4.493 7.465
Ba 4.493 7.465 7.465
Sr 8.969 8.969 8.969
```

=====

# 12
Computed X-ray diffraction stick pattern
Compound: Ta2Ge6W
Radiation: Cu Kα (weighted mean of Kα1 and Kα2)
Structure: DFT lattice parameters and positions (PBE)
Peak positions follow from Bragg's law for the DFT cell and can differ from measured ones.

Largest 10 diffraction maxima, in order of falling intensity, 2θ from 10° to 90°:
2θ (°)	I (rel.)
38.53	100
45.21	64
39.95	51
38.75	49
66.82	39
45.40	34
24.55	31
33.69	22
71.56	17
24.44	17

Crystal structure
```
9
Lattice="2.474 -4.322 0.000 2.474 4.322 0.000 0.000 0.000 6.770" Properties=species:S:1:pos:R:3 pbc="T T T"
Ta 1.237 2.161 1.115
Ta 1.237 -2.161 5.655
Ge 1.252 0.701 5.626
Ge 1.252 -0.701 1.144
Ge 2.474 1.434 3.385
Ge 2.474 -1.434 3.385
Ge 3.697 0.701 1.144
Ge 3.697 -0.701 5.626
W 0.000 0.000 3.385
```